1.
For Dy5Te2Ir, a DFT-relaxed cell (GGA-PBE, Alexandria) gives the theoretical powder X-ray diffraction pattern in this record (λ = 1.5418 Å (Cu Kα)).

Structural model:
Unit cell a=8.188 b=13.126 c=4.132 alpha=90.00 beta=90.00 gamma=90.00
Atoms (fractional coordinates):
Dy1 0.000 0.000 0.000
Dy2 0.163 0.315 0.000
Dy3 0.170 0.584 0.500
Dy4 0.330 0.084 0.500
Dy5 0.337 0.815 0.000
Dy6 0.500 0.500 0.000
Dy7 0.663 0.185 0.000
Dy8 0.670 0.916 0.500
Dy9 0.830 0.416 0.500
Dy10 0.837 0.685 0.000
Te1 0.041 0.822 0.500
Te2 0.459 0.322 0.500
Te3 0.541 0.678 0.500
Te4 0.959 0.178 0.500
Ir1 0.000 0.500 0.000
Ir2 0.500 0.000 0.000

The 6 most intense peaks (10 to 80 degrees two-theta), in order of rising 2θ:
2θ 27.74, 3.216 Å, I = 58; 2θ 29.32, 3.046 Å, I = 53; 2θ 31.51, 2.839 Å, I = 68; 2θ 31.73, 2.820 Å, I = 34; 2θ 33.71, 2.659 Å, I = 100; 2θ 43.82, 2.066 Å, I = 41

2.
For Na4Cd2Si3O10, a DFT-relaxed cell (GGA-PBE, Alexandria) gives the theoretical powder X-ray diffraction pattern in this record (λ = 1.5418 Å (Cu Kα)).

Structural model:
Unit cell a=5.830 b=5.830 c=17.920 alpha=98.43 beta=98.43 gamma=60.97
Atoms (fractional coordinates):
Na1 0.070 0.276 0.242
Na2 0.182 0.325 0.560
Na3 0.276 0.070 0.742
Na4 0.325 0.182 0.060
Na5 0.675 0.818 0.940
Na6 0.724 0.930 0.258
Na7 0.818 0.675 0.440
Na8 0.930 0.724 0.758
Cd1 0.304 0.501 0.915
Cd2 0.499 0.696 0.585
Cd3 0.501 0.304 0.415
Cd4 0.696 0.499 0.085
Si1 0.041 0.828 0.102
Si2 0.172 0.959 0.398
Si3 0.382 0.618 0.250
Si4 0.618 0.382 0.750
Si5 0.828 0.041 0.602
Si6 0.959 0.172 0.898
O1 0.042 0.112 0.115
O2 0.112 0.042 0.615
O3 0.115 0.706 0.187
O4 0.147 0.249 0.428
O5 0.249 0.147 0.928
O6 0.272 0.605 0.048
O7 0.294 0.885 0.313
O8 0.364 0.417 0.787
O9 0.395 0.728 0.452
O10 0.417 0.364 0.287
O11 0.583 0.636 0.713
O12 0.605 0.272 0.548
O13 0.636 0.583 0.213
O14 0.706 0.115 0.687
O15 0.728 0.395 0.952
O16 0.751 0.853 0.072
O17 0.853 0.751 0.572
O18 0.885 0.294 0.813
O19 0.888 0.958 0.385
O20 0.958 0.888 0.885

The 6 most intense peaks (10 to 80 degrees two-theta), in order of rising 2θ:
2θ 19.39, 4.578 Å, I = 67; 2θ 22.07, 4.028 Å, I = 59; 2θ 30.37, 2.943 Å, I = 98; 2θ 30.67, 2.915 Å, I = 100; 2θ 33.91, 2.644 Å, I = 97; 2θ 34.13, 2.627 Å, I = 52

3.
For Tm5Ni2As, a DFT-relaxed cell (GGA-PBE, Alexandria) gives the theoretical powder X-ray diffraction pattern in this record (λ = 1.5418 Å (Cu Kα)).

Structural model:
Unit cell a=8.427 b=8.427 c=8.427 alpha=128.83 beta=128.83 gamma=75.28
Atoms (fractional coordinates):
Tm1 0.000 0.000 0.000
Tm2 0.018 0.518 0.821
Tm3 0.197 0.018 0.500
Tm4 0.303 0.803 0.821
Tm5 0.482 0.303 0.500
Tm6 0.500 0.500 0.000
Tm7 0.518 0.697 0.500
Tm8 0.697 0.197 0.179
Tm9 0.803 0.982 0.500
Tm10 0.982 0.482 0.179
Ni1 0.130 0.370 0.500
Ni2 0.370 0.870 0.239
Ni3 0.630 0.130 0.761
Ni4 0.870 0.630 0.500
As1 0.250 0.250 0.000
As2 0.750 0.750 0.000

The 6 most intense peaks (10 to 80 degrees two-theta), in order of rising 2θ:
2θ 28.22, 3.162 Å, I = 27; 2θ 31.97, 2.800 Å, I = 25; 2θ 34.13, 2.627 Å, I = 100; 2θ 36.54, 2.459 Å, I = 34; 2θ 39.14, 2.302 Å, I = 50; 2θ 57.67, 1.598 Å, I = 19